Record 1
Computed X-ray diffraction stick pattern
Compound: Ca3Dy
Radiation: copper Kα
Structure: a crystal structure in the Materials Project, relaxed with GGA-PBE
Lines closer than 0.1° are merged.

Crystal structure
```
data_Ca3Dy
_cell_length_a 7.5441
_cell_length_b 7.5441
_cell_length_c 6.2369
_cell_angle_alpha 90.00
_cell_angle_beta 90.00
_cell_angle_gamma 120.00
_space_group_name_H-M_alt 'P 63/m m c'
_space_group_IT_number 194
_space_group_name_Hall '-P 6c 2c'
loop_
_atom_site_label
_atom_site_type_symbol
_atom_site_fract_x
_atom_site_fract_y
_atom_site_fract_z
Ca1 Ca 0.1705 0.3409 0.2500
Dy1 Dy 0.3333 0.6667 0.7500
```

Most intense lines, 2θ = 5–70°, sorted by position:
2theta, Rel. int., h k l
13.55, 21, 1 0 0
19.68, 47, 1 0 1
23.59, 21, 1 1 0
27.30, 23, 2 0 0
28.63, 27, 0 0 2
30.90, 100, 2 0 1
39.24, 19, 2 1 1
39.97, 16, 2 0 2
48.25, 18, 2 2 0
52.15, 22, 2 0 3
57.07, 22, 2 2 2
58.41, 15, 4 0 1

=====

Record 2
Computed X-ray diffraction stick pattern
Compound: CaDy2Ge4O12
Radiation: copper Kα
Structure: a crystal structure in the Materials Project, relaxed with GGA-PBE
Lines closer than 0.1° are merged.

Crystal structure
```
data_CaDy2Ge4O12
_cell_length_a 14.2899
_cell_length_b 14.3186
_cell_length_c 5.1122
_cell_angle_alpha 90.00
_cell_angle_beta 90.00
_cell_angle_gamma 90.00
_space_group_name_H-M_alt 'C m m e'
_space_group_IT_number 67
_space_group_name_Hall '-C 2a 2'
loop_
_atom_site_label
_atom_site_type_symbol
_atom_site_fract_x
_atom_site_fract_y
_atom_site_fract_z
Ca1 Ca 0.0000 0.0000 0.0000
Dy1 Dy 0.2500 0.0000 0.0000
Dy2 Dy 0.2500 0.2500 0.0000
Ge1 Ge 0.1139 0.1350 0.4988
O1 O 0.0000 0.1291 0.6567
O2 O 0.1215 0.0553 0.2446
O3 O 0.1249 0.2500 0.3382
O4 O 0.1938 0.1339 0.7580
```

Most intense lines, 2θ = 5–70°, sorted by position:
2theta, Rel. int., h k l
12.39, 30, 2 0 0
21.37, 36, 2 0 1
27.88, 14, 2 4 0
30.51, 100, 0 4 1
35.11, 10, 0 0 2
35.50, 24, 4 4 0
45.41, 11, 2 4 2
49.29, 10, 6 4 1
50.79, 26, 4 4 2
60.15, 15, 0 4 3
60.67, 25, 4 8 1
63.49, 10, 0 8 2

=====

Record 3
Computed X-ray diffraction stick pattern
Compound: CaDyHg2
Radiation: copper Kα
Structure: a crystal structure in the Materials Project, relaxed with GGA-PBE
Lines closer than 0.1° are merged.

Crystal structure
```
data_CaDyHg2
_cell_length_a 7.4972
_cell_length_b 7.4972
_cell_length_c 7.4972
_cell_angle_alpha 90.00
_cell_angle_beta 90.00
_cell_angle_gamma 90.00
_space_group_name_H-M_alt 'F m -3 m'
_space_group_IT_number 225
_space_group_name_Hall '-F 4 2 3'
loop_
_atom_site_label
_atom_site_type_symbol
_atom_site_fract_x
_atom_site_fract_y
_atom_site_fract_z
Ca1 Ca 0.0000 0.0000 0.0000
Dy1 Dy 0.0000 0.0000 0.5000
Hg1 Hg 0.2500 0.2500 0.2500
```

Most intense lines, 2θ = 5–70°, sorted by position:
2theta, Rel. int., h k l
20.52, 9, 1 1 1
23.74, 13, 2 0 0
33.82, 100, 2 2 0
39.88, 5, 3 1 1
41.73, 4, 2 2 2
48.57, 18, 4 0 0
53.26, 2, 3 3 1
54.76, 6, 4 2 0
60.50, 38, 4 2 2
64.59, 2, 5 1 1

=====

Record 4
Computed X-ray diffraction stick pattern
Compound: KCaDySeO6
Radiation: copper Kα
Structure: a crystal structure in the Materials Project, relaxed with GGA-PBE
Lines closer than 0.1° are merged.

Crystal structure
```
data_KCaDySeO6
_cell_length_a 8.0545
_cell_length_b 8.0545
_cell_length_c 8.0545
_cell_angle_alpha 90.00
_cell_angle_beta 90.00
_cell_angle_gamma 90.00
_space_group_name_H-M_alt 'F -4 3 m'
_space_group_IT_number 216
_space_group_name_Hall 'F -4 2 3'
loop_
_atom_site_label
_atom_site_type_symbol
_atom_site_fract_x
_atom_site_fract_y
_atom_site_fract_z
K1 K 0.0000 0.0000 0.0000
Ca1 Ca 0.0000 0.0000 0.5000
Dy1 Dy 0.2500 0.2500 0.7500
Se1 Se 0.2500 0.2500 0.2500
O1 O 0.0238 0.2500 0.2500
```

Most intense lines, 2θ = 5–70°, sorted by position:
2theta, Rel. int., h k l
19.09, 10, 1 1 1
22.07, 52, 2 0 0
31.41, 100, 2 2 0
37.02, 11, 3 1 1
38.73, 2, 2 2 2
45.02, 36, 4 0 0
49.32, 7, 3 3 1
50.69, 21, 4 2 0
55.93, 37, 4 2 2
59.65, 3, 3 3 3
65.56, 20, 4 4 0
68.98, 3, 5 3 1